[1]
Computed XRD peak list
Compound: Hg4AuBr
Radiation: Cu Kα, 1.54184 Å
Structure: a crystal structure in Alexandria, relaxed with GGA-PBE
Lines closer than 0.1° are merged.

Atomic structure:
a = 12.231 Å, b = 6.732 Å, c = 11.023 Å
α = 90.00°, β = 103.46°, γ = 90.00°
Space group P2_1/c (No. 14)
Asymmetric unit:
Hg1 0.001 0.001 0.252 [4 per cell]
Hg2 0.190 0.724 0.049 [4 per cell]
Hg3 0.326 0.058 0.878 [4 per cell]
Hg4 0.340 0.031 0.289 [4 per cell]
Au1 0.181 0.749 0.297 [4 per cell]
Br1 0.449 0.240 0.116 [4 per cell]

Top 8 peaks for 10 to 90 degrees two-theta, sorted by position:
(1 1 0), 15.1°, I = 48; (1 0 -2), 16.5°, I = 42; (0 0 2), 16.5°, I = 44; (2 1 0), 19.9°, I = 83; (0 2 2), 31.4°, I = 35; (1 0 -4), 32.5°, I = 48; (3 2 0), 35.0°, I = 100; (2 2 4), 48.6°, I = 28


[2]
Computed XRD peak list
Compound: Mg3Si8Ir3
Radiation: Cu Kα, 1.54184 Å
Structure: a crystal structure in Alexandria, relaxed with GGA-PBE
Lines closer than 0.1° are merged.

Atomic structure:
a = 12.265 Å, b = 12.265 Å, c = 12.265 Å
α = 90.00°, β = 90.00°, γ = 90.00°
Space group F-43m (No. 216)
Asymmetric unit:
Mg1 0.000 0.000 0.000 [4 per cell]
Mg2 0.099 0.099 0.599 [16 per cell]
Mg3 0.250 0.250 0.250 [4 per cell]
Si1 0.070 0.070 0.220 [48 per cell]
Si2 0.176 0.176 0.824 [16 per cell]
Ir1 0.005 0.250 0.750 [24 per cell]

Top 8 peaks for 10 to 90 degrees two-theta, sorted by position:
(2 0 0), 14.4°, I = 40; (2 2 0), 20.5°, I = 34; (2 2 2), 25.2°, I = 100; (4 0 0), 29.1°, I = 67; (4 4 0), 41.7°, I = 63; (6 2 2), 49.3°, I = 81; (6 6 2), 66.5°, I = 24; (8 4 0), 68.4°, I = 25


[3]
Computed XRD peak list
Compound: KInGa2I8
Radiation: Cu Kα, 1.54184 Å
Structure: a crystal structure in Alexandria, relaxed with GGA-PBE
Lines closer than 0.1° are merged.

Atomic structure:
a = 7.5823 Å, b = 7.5823 Å, c = 11.6780 Å
α = 90.00°, β = 90.00°, γ = 120.00°
Space group P-3 (No. 147)
Asymmetric unit:
K1 0.0000 0.0000 0.0000 [1 per cell]
In1 0.0000 0.0000 0.5000 [1 per cell]
Ga1 0.3333 0.6667 0.7761 [2 per cell]
I1 0.0090 0.3400 0.7067 [6 per cell]
I2 0.3333 0.6667 0.9967 [2 per cell]

Top 8 peaks for 10 to 90 degrees two-theta, sorted by position:
(0 1 1), 15.5°, I = 42; (0 0 3), 22.8°, I = 18; (1 1 1), 24.7°, I = 100; (2 -1 2), 28.1°, I = 69; (1 1 3), 33.0°, I = 22; (1 1 4), 38.9°, I = 28; (3 0 0), 41.2°, I = 44; (3 0 4), 52.2°, I = 19


[4]
Computed XRD peak list
Compound: Na5AgGe2Se7
Radiation: Cu Kα, 1.54184 Å
Structure: a crystal structure in Alexandria, relaxed with GGA-PBE
Lines closer than 0.1° are merged.

Atomic structure:
a = 9.707 Å, b = 10.802 Å, c = 15.641 Å
α = 90.00°, β = 103.28°, γ = 90.00°
Space group C2/c (No. 15)
Asymmetric unit:
Na1 0.000 0.000 0.000 [4 per cell]
Na2 0.117 0.355 0.080 [8 per cell]
Na3 0.245 0.271 0.646 [8 per cell]
Ag1 0.000 0.086 0.750 [4 per cell]
Ge1 0.162 0.424 0.860 [8 per cell]
Se1 0.000 0.453 0.250 [4 per cell]
Se2 0.068 0.232 0.893 [8 per cell]
Se3 0.124 0.112 0.185 [8 per cell]
Se4 0.197 0.427 0.475 [8 per cell]

Top 8 peaks for 10 to 90 degrees two-theta, sorted by position:
(1 1 2), 18.5°, I = 100; (2 0 -2), 19.7°, I = 73; (1 1 3), 23.2°, I = 50; (3 1 -1), 28.8°, I = 50; (1 3 -3), 30.7°, I = 88; (0 2 5), 33.8°, I = 58; (2 0 6), 44.2°, I = 61; (0 4 5), 44.9°, I = 46


[5]
Computed XRD peak list
Compound: Li2LaSm2Si2
Radiation: Cu Kα, 1.54184 Å
Structure: a crystal structure in Alexandria, relaxed with GGA-PBE
Lines closer than 0.1° are merged.

Atomic structure:
a = 4.5586 Å, b = 4.5586 Å, c = 27.3574 Å
α = 90.00°, β = 90.00°, γ = 120.00°
Space group R-3m (No. 166, hexagonal axes)
Asymmetric unit:
Li1 0.0000 0.0000 0.0934 [6 per cell]
La1 0.0000 0.0000 0.5000 [3 per cell]
Sm1 0.0000 0.0000 0.3712 [6 per cell]
Si1 0.0000 0.0000 0.2408 [6 per cell]

Top 8 peaks for 10 to 90 degrees two-theta, sorted by position:
(1 0 1), 22.8°, I = 100; (1 0 7), 32.2°, I = 63; (0 1 8), 34.7°, I = 72; (1 1 0), 39.5°, I = 56; (0 0 15), 50.0°, I = 23; (2 0 8), 53.6°, I = 21; (1 1 15), 65.6°, I = 21; (1 2 8), 68.6°, I = 20


[6]
Computed XRD peak list
Compound: MnAlTcPd
Radiation: Cu Kα, 1.54184 Å
Structure: a crystal structure in Alexandria, relaxed with GGA-PBE
Lines closer than 0.1° are merged.

Atomic structure:
a = 6.082 Å, b = 6.082 Å, c = 6.082 Å
α = 90.00°, β = 90.00°, γ = 90.00°
Space group F-43m (No. 216)
Asymmetric unit:
Mn1 0.000 0.000 0.000 [4 per cell]
Al1 0.000 0.000 0.500 [4 per cell]
Tc1 0.250 0.250 0.750 [4 per cell]
Pd1 0.250 0.250 0.250 [4 per cell]

Top 8 peaks for 10 to 90 degrees two-theta, sorted by position:
(1 1 1), 25.4°, I = 3; (2 0 0), 29.4°, I = 25; (2 2 0), 42.0°, I = 100; (3 1 1), 49.7°, I = 1; (2 2 2), 52.1°, I = 7; (4 0 0), 60.9°, I = 16; (4 2 0), 69.1°, I = 9; (4 2 2), 76.8°, I = 32